For Tb3TlPt8, a structure optimized by DFT (PBE) gives the theoretical powder X-ray diffraction pattern in this record (Cu Kα X-rays).
Lines closer than 0.1° are merged.

Top 10 peaks for 10° ≤ 2θ ≤ 80°, most intense first:
hkl, two_theta, d [Å], intensity
1 1 2, 38.7, 2.326, 100
2 0 1, 39.5, 2.284, 94
0 1 3, 35.7, 2.512, 61
2 2 0, 68.8, 1.364, 30
2 0 5, 65.7, 1.421, 30
2 0 2, 43.4, 2.087, 26
1 2 3, 60.5, 1.530, 25
0 3 2, 62.6, 1.485, 25
1 1 0, 32.8, 2.728, 24
0 0 4, 40.6, 2.224, 23

Atomic structure:
a b c (Å): 5.4570 5.4570 8.8959
angles (deg): 90.00 90.00 120.00
Fractional positions:
1 Tb 0.0000 0.0000 0.0000
2 Tb 0.0000 0.0000 0.3823
3 Tb 0.3333 0.6667 0.8389
4 Tl 0.3333 0.6667 0.4788
5 Pt 0.0053 0.5027 0.1769
6 Pt 0.3293 0.1646 0.6853
7 Pt 0.4973 0.5027 0.1769
8 Pt 0.4973 0.9947 0.1769
9 Pt 0.6667 0.3333 0.4309
10 Pt 0.6667 0.3333 0.9337
11 Pt 0.8354 0.1646 0.6853
12 Pt 0.8354 0.6707 0.6853